# LiBeH3
Computed XRD peak list, λ = 1.5418 Å (Cu Kα). Input: a GGA-PBE-relaxed structure.
No peak broadening, texture or thermal motion is included.

Most intense lines, 5° ≤ 2θ ≤ 70°, sorted by position:
hkl	d_spacing	2θ/deg	intensity
0 2 1	2.968	30.10	18
2 2 0	2.862	31.25	23
2 2 -1	2.710	33.06	100
3 1 -1	2.620	34.23	12
3 1 0	2.580	34.77	30
1 3 -1	2.308	39.02	16
0 0 2	2.209	40.85	38
2 2 1	2.180	41.43	34
4 0 -2	1.839	49.57	15
5 3 -1	1.455	63.97	30

Structural model:
```
data_LiBeH3
_chemical_formula_sum 'Li8 Be8 H24'
_cell_length_a 8.6783
_cell_length_b 8.0162
_cell_length_c 4.6897
_cell_angle_alpha 90.00
_cell_angle_beta 109.61
_cell_angle_gamma 90.00
_space_group_name_H-M_alt 'C 1 2/c 1'
_space_group_IT_number 15
loop_
_space_group_symop_operation_xyz
'x,y,z'
'-x,-y,-z'
'-x,y,-z+1/2'
'x,-y,z+1/2'
'x+1/2,y+1/2,z'
'-x+1/2,-y+1/2,-z'
'-x+1/2,y+1/2,-z+1/2'
'x+1/2,-y+1/2,z+1/2'
loop_
_atom_site_label
_atom_site_fract_x
_atom_site_fract_y
_atom_site_fract_z
Li1 0.0000 0.0995 0.2500
Li2 0.0000 0.2884 0.7500
Be1 0.2147 0.4131 0.2344
H1 0.1129 0.0946 0.6622
H2 0.1371 0.2572 0.1594
H3 0.1452 0.4916 0.4500
```